No. 1
This entry pairs a crystal structure of SmCr2O8 with its simulated XRD peak list. Radiation: copper Kα. Structure: the GGA+U geometry in Alexandria.

Main lines, low angle first (5 to 70 degrees two-theta):
2theta	I/Imax
20.37	939
29.76	373
30.95	1000
43.18	134
43.77	260
49.25	182
49.77	487
54.55	190
55.30	189
64.73	221

Crystal structure
```
SmCr2O8
1.0
-2.3493 2.3493 5.8524
2.3493 -2.3493 5.8524
2.3493 2.3493 -5.8524
Sm Cr O
1 2 8
Cartesian
0.0000 0.0000 0.0000
2.3493 0.0000 2.9262
0.0000 2.3493 2.9262
1.1781 1.1781 -1.7286
1.1711 -1.1711 4.1238
1.1781 1.1781 1.7286
1.1711 -1.1711 7.5810
-1.1711 1.1711 4.1238
1.1711 1.1711 4.1238
-1.1711 1.1711 7.5810
1.1711 1.1711 7.5810
```



No. 2
This entry pairs a crystal structure of SmCr2O2 with its simulated XRD peak list. Radiation: copper Kα. Structure: the GGA+U geometry in Alexandria.

Main lines, low angle first (5 to 70 degrees two-theta):
2theta	I/Imax
13.42	414
24.17	189
27.04	473
28.44	1000
28.99	262
35.47	535
40.65	296
41.05	248
49.50	298
60.08	160

Crystal structure
```
SmCr2O2
1.0
-4.4389 4.4389 4.9267
4.4389 -4.4389 4.9267
4.4389 4.4389 -4.9267
Sm Cr O
4 8 8
Cartesian
0.0000 0.0000 0.0000
2.2195 2.2195 -2.4633
2.2195 -2.2195 2.4633
0.0000 4.4389 0.0000
4.4389 -0.4804 1.3485
4.4389 3.9585 -1.3485
1.7390 2.2195 1.1149
2.6999 -2.2195 6.0416
1.7390 6.6584 -1.1149
2.6999 2.2195 3.8118
0.0000 0.4804 6.2752
0.0000 4.9193 3.5782
3.0435 2.2195 -0.4065
5.8343 2.2195 -0.4065
0.0000 0.8241 2.0568
4.4389 0.8241 2.8699
0.0000 3.6148 2.0568
4.4389 3.6148 2.8699
-1.3954 2.2195 5.3332
1.3954 2.2195 5.3332
```



No. 3
This entry pairs a crystal structure of SmCrO5 with its simulated XRD peak list. Radiation: copper Kα. Structure: the GGA+U geometry in Alexandria.

Main lines, low angle first (5 to 70 degrees two-theta):
2theta	I/Imax
16.98	278
22.84	958
24.10	1000
33.44	295
34.34	223
41.64	319
43.11	296
48.69	221
56.24	362
67.57	184

Crystal structure
```
SmCrO5
1.0
7.3857 0.0000 0.0000
0.0000 7.3857 0.0000
0.0000 0.0000 4.5829
Sm Cr O
2 2 10
Cartesian
1.8464 1.8464 1.1111
5.5393 5.5393 3.4718
1.8464 5.5393 2.2914
5.5393 1.8464 2.2914
0.4867 5.5393 3.2490
1.8464 1.8464 3.4154
1.8464 4.1795 1.3338
1.8464 6.8990 1.3338
3.2061 5.5393 3.2490
4.1795 1.8464 1.3338
5.5393 0.4867 3.2490
5.5393 3.2061 3.2490
5.5393 5.5393 1.1675
6.8990 1.8464 1.3338
```



No. 4
This entry pairs a crystal structure of SmTmCr2O8 with its simulated XRD peak list. Radiation: copper Kα. Structure: the GGA+U geometry in Alexandria.

Main lines, low angle first (5 to 70 degrees two-theta):
2theta	I/Imax
18.66	367
24.58	1000
33.37	695
35.04	221
39.99	140
47.50	125
49.17	582
50.40	157
56.85	139
61.80	170

Crystal structure
```
SmTmCr2O8
1.0
-3.6213 3.6213 3.1530
3.6213 -3.6213 3.1530
3.6213 3.6213 -3.1530
Sm Tm Cr O
1 1 2 8
Cartesian
0.0000 0.0000 0.0000
0.0000 3.6213 1.5765
3.6213 0.0000 1.5765
0.0000 0.0000 3.1530
2.3163 0.0000 0.4555
4.9263 0.0000 0.4555
3.6213 2.2672 -1.0738
3.6213 -1.3050 2.6975
0.0000 1.3541 2.0792
3.6213 1.3050 2.6975
2.2672 3.6213 1.0738
1.3541 0.0000 4.2268
```



No. 5
This entry pairs a crystal structure of ZnCr2SnO6 with its simulated XRD peak list. Radiation: copper Kα. Structure: the GGA+U geometry in Alexandria.

Main lines, low angle first (5 to 70 degrees two-theta):
2theta	I/Imax
20.63	121
23.42	476
32.37	1000
34.33	875
39.55	169
41.98	105
47.90	415
52.63	492
60.25	371
61.48	323

Crystal structure
```
ZnCr2SnO6
1.0
2.6122 1.5082 4.6604
-2.6122 1.5082 4.6604
0.0000 -3.0163 4.6604
Zn Cr Sn O
1 2 1 6
Cartesian
0.0000 0.0000 0.0000
0.0000 0.0000 3.9573
0.0000 0.0000 10.9717
0.0000 0.0000 6.8278
-0.8631 -1.2957 5.3209
-1.8862 -0.0961 7.6246
-0.6906 1.3953 5.3208
1.0263 -1.5855 7.6246
1.5536 -0.0996 5.3208
0.8599 1.6815 7.6246
```



No. 6
This entry pairs a crystal structure of Sr2CrO4 with its simulated XRD peak list. Radiation: copper Kα. Structure: the GGA+U geometry in Alexandria.

Main lines, low angle first (5 to 70 degrees two-theta):
2theta	I/Imax
26.30	153
29.09	164
30.27	240
30.48	1000
36.54	125
38.63	84
43.52	143
48.15	94
53.90	82
54.14	89

Crystal structure
```
Sr2CrO4
1.0
14.3726 0.0000 0.0000
0.0000 5.9057 0.0000
0.0000 0.0000 10.1206
Sr Cr O
16 8 32
Cartesian
0.6651 1.3235 0.0000
1.7084 1.1395 6.4618
1.8763 4.2685 2.2965
2.9435 4.0852 8.7523
4.2428 1.1324 3.6920
5.3100 1.3157 7.3567
5.4779 4.0924 1.4015
6.5211 4.2763 5.0603
7.8514 1.6294 0.0000
8.8947 1.8134 6.4618
9.0626 4.5900 2.2965
10.1298 4.7734 8.7523
11.4291 1.8205 3.6920
12.4963 1.6372 7.3567
12.6642 4.7662 1.4015
13.7074 4.5822 5.0603
0.3546 1.6312 3.5496
3.3133 4.1116 5.1861
3.8730 1.1587 0.1258
6.8317 4.5841 8.6099
7.5409 1.3217 3.5496
10.4996 4.7470 5.1861
11.0593 1.7941 0.1258
14.0179 4.2745 8.6099
0.1885 0.3186 2.3561
0.4111 2.7768 7.9215
0.6490 4.6252 10.0783
1.7812 4.9703 4.8288
1.9987 2.1211 4.0807
2.8499 0.7841 8.7801
2.9063 2.6293 0.7180
3.4966 2.9464 6.5560
3.6897 5.8992 1.4957
4.2800 5.5821 5.7783
4.3364 3.7370 3.7198
5.1876 5.0739 9.1410
5.4051 2.0174 9.8891
6.5373 1.6724 5.0180
6.7752 5.7296 2.8612
6.9978 3.2714 7.4164
7.3748 2.6343 2.3561
7.5974 0.1761 7.9215
7.8353 4.2334 10.0783
8.9675 3.8883 4.8288
9.1850 0.8318 4.0807
10.0362 2.1688 8.7801
10.0926 0.3236 0.7180
10.6829 0.0065 6.5560
10.8760 2.9593 1.4957
11.4663 3.2765 5.7783
11.5227 5.1216 3.7198
12.3739 3.7847 9.1410
12.5914 0.9355 9.8891
13.7236 1.2805 5.0180
13.9615 3.1290 2.8612
14.1841 5.5872 7.4164
```



No. 7
This entry pairs a crystal structure of SrThCr2O8 with its simulated XRD peak list. Radiation: copper Kα. Structure: the GGA+U geometry in Alexandria.

Main lines, low angle first (5 to 70 degrees two-theta):
2theta	I/Imax
16.74	211
18.07	484
23.76	1000
30.01	210
32.32	699
33.85	226
38.63	163
45.86	158
47.50	585
59.59	188

Crystal structure
```
SrThCr2O8
1.0
-3.7452 3.7452 3.2493
3.7452 -3.7452 3.2493
3.7452 3.7452 -3.2493
Sr Th Cr O
1 1 2 8
Cartesian
0.0000 0.0000 0.0000
0.0000 3.7452 1.6246
3.7452 0.0000 1.6246
0.0000 0.0000 3.2493
2.4500 0.0000 0.4869
5.0404 0.0000 0.4869
3.7452 2.3440 -1.0194
3.7452 -1.2952 2.7624
0.0000 1.4012 2.2299
3.7452 1.2952 2.7624
2.3440 3.7452 1.0194
1.4012 0.0000 4.2687
```



No. 8
This entry pairs a crystal structure of SrU2CrO8 with its simulated XRD peak list. Radiation: copper Kα. Structure: the GGA+U geometry in Alexandria.

Main lines, low angle first (5 to 70 degrees two-theta):
2theta	I/Imax
17.42	691
23.58	657
25.38	124
25.84	483
30.95	1000
34.91	203
35.26	301
46.31	458
48.87	345
60.61	233

Crystal structure
```
SrU2CrO8
1.0
3.4483 -3.7737 0.0000
3.4483 3.7737 0.0000
0.0000 0.0000 7.0198
Sr U Cr O
1 2 1 8
Cartesian
0.0000 0.0000 0.0000
3.4483 0.0000 1.8047
3.4483 0.0000 5.2150
0.0000 0.0000 3.5099
1.4596 0.0000 1.9700
1.4596 0.0000 5.0497
3.4483 1.2954 3.5099
3.4483 1.2557 0.0000
3.4483 -1.2557 0.0000
3.4483 -1.2954 3.5099
5.4370 0.0000 1.9700
5.4370 0.0000 5.0497
```



No. 9
This entry pairs a crystal structure of Sr3VCr3O8 with its simulated XRD peak list. Radiation: copper Kα. Structure: the GGA+U geometry in Alexandria.

Main lines, low angle first (5 to 70 degrees two-theta):
2theta	I/Imax
31.84	552
32.70	526
33.46	427
34.26	395
36.16	1000
39.22	772
39.68	757
53.65	262
54.40	519
55.86	253

Crystal structure
```
Sr3VCr3O8
1.0
6.2594 0.0000 0.0000
-2.9696 5.9129 0.0000
-0.0707 -3.6273 5.6204
Sr V Cr O
3 1 3 8
Cartesian
0.0000 0.0000 0.0000
-1.4848 2.9564 0.0000
3.1297 0.0000 0.0000
-1.5201 1.1428 2.8102
-0.0353 -1.8136 2.8102
3.0944 -1.8136 2.8102
1.6096 1.1428 2.8102
-0.0076 0.1595 3.8571
-1.4728 3.0994 3.8460
-0.0174 1.8137 1.6382
-1.4501 4.8193 1.5974
4.6692 -2.5338 4.0230
3.2366 0.4719 3.9821
4.6920 -0.8138 1.7744
3.2268 2.1261 1.7633
```



Number 2 is which compound? SmCr2O2